[1]
For V4O3F9, a crystal structure in the Materials Project, relaxed with PBE+U gives the theoretical powder diffractogram in this record (copper Kα).

The 8 most intense peaks (2θ = 10–80°), low angle first:
| two_theta | Rel. int. | index |
| --- | --- | --- |
| 23.44 | 100 | 0 1 -1 |
| 24.15 | 51 | 1 1 2 |
| 33.25 | 7 | 1 2 1 |
| 39.64 | 13 | 2 0 0 |
| 47.95 | 23 | 0 2 -2 |
| 49.47 | 9 | 2 2 4 |
| 53.27 | 13 | 1 -2 1 |
| 54.80 | 8 | 2 1 -3 |

Structure:
a b c (Å): 5.209 5.397 9.056
angles (deg): 73.01 74.91 61.98
Fractional positions:
V: 0.000 0.000 0.000
V: 0.241 0.241 0.256
V: 0.485 0.485 0.495
V: 0.731 0.729 0.732
O: 0.143 0.144 0.079
O: 0.316 0.317 0.403
O: 0.657 0.654 0.584
F: 0.161 0.560 0.671
F: 0.209 0.603 0.110
F: 0.257 0.861 0.370
F: 0.309 0.916 0.819
F: 0.656 0.047 0.165
F: 0.714 0.109 0.619
F: 0.758 0.361 0.872
F: 0.811 0.409 0.319
F: 0.817 0.818 0.909

---

[2]
For Li2NiGeO4, a crystal structure in the Materials Project, relaxed with PBE+U gives the theoretical powder diffractogram in this record (copper Kα).

The 8 most intense peaks (2θ = 10–80°), low angle first:
| two_theta | Rel. int. | index |
| --- | --- | --- |
| 16.11 | 50 | 2 0 0 |
| 23.91 | 100 | 2 0 1 |
| 27.57 | 53 | 0 2 0 |
| 30.10 | 26 | 3 0 1 |
| 32.09 | 44 | 2 2 0 |
| 32.55 | 27 | 4 0 0 |
| 35.52 | 33 | 0 0 2 |
| 57.79 | 29 | 6 2 0 |

Structure:
a b c (Å): 11.004 6.471 5.055
angles (deg): 90.00 90.00 90.00
Fractional positions:
Li: 0.088 0.002 0.178
Li: 0.088 0.498 0.178
Li: 0.412 0.502 0.678
Li: 0.412 0.998 0.678
Li: 0.588 0.002 0.322
Li: 0.588 0.498 0.322
Li: 0.912 0.502 0.822
Li: 0.912 0.998 0.822
Ni: 0.163 0.250 0.681
Ni: 0.337 0.750 0.181
Ni: 0.663 0.250 0.819
Ni: 0.837 0.750 0.319
Ge: 0.165 0.750 0.671
Ge: 0.335 0.250 0.171
Ge: 0.665 0.750 0.829
Ge: 0.835 0.250 0.329
O: 0.091 0.522 0.780
O: 0.091 0.978 0.780
O: 0.167 0.750 0.317
O: 0.182 0.250 0.286
O: 0.318 0.750 0.786
O: 0.333 0.250 0.817
O: 0.409 0.022 0.280
O: 0.409 0.478 0.280
O: 0.591 0.522 0.720
O: 0.591 0.978 0.720
O: 0.667 0.750 0.183
O: 0.682 0.250 0.214
O: 0.818 0.750 0.714
O: 0.833 0.250 0.683
O: 0.909 0.022 0.220
O: 0.909 0.478 0.220

---

[3]
For MgCo5SnO12, a crystal structure in the Materials Project, relaxed with PBE+U gives the theoretical powder diffractogram in this record (copper Kα).

The 8 most intense peaks (2θ = 10–80°), low angle first:
| two_theta | Rel. int. | index |
| --- | --- | --- |
| 17.80 | 100 | 0 0 2 |
| 35.03 | 11 | 1 1 0 |
| 36.10 | 25 | 1 -2 1 |
| 37.29 | 24 | 1 1 -2 |
| 41.72 | 9 | 1 1 2 |
| 43.58 | 16 | 1 -2 3 |
| 46.56 | 17 | 2 -1 3 |
| 62.75 | 9 | 0 3 -1 |

Structure:
a b c (Å): 5.062 5.065 10.054
angles (deg): 93.78 93.93 118.63
Fractional positions:
Mg: 0.000 0.000 0.000
Co: 0.049 0.717 0.245
Co: 0.249 0.577 0.746
Co: 0.384 0.383 0.251
Co: 0.719 0.048 0.245
Co: 0.912 0.904 0.731
Sn: 0.585 0.239 0.742
O: 0.024 0.343 0.148
O: 0.042 0.041 0.341
O: 0.205 0.859 0.643
O: 0.245 0.244 0.846
O: 0.343 0.024 0.148
O: 0.412 0.747 0.332
O: 0.554 0.573 0.646
O: 0.654 0.939 0.854
O: 0.730 0.729 0.138
O: 0.747 0.410 0.332
O: 0.897 0.195 0.638
O: 0.960 0.633 0.847

---

Repeat the third record exactly.
For MgCo5SnO12, a crystal structure in the Materials Project, relaxed with PBE+U gives the theoretical powder diffractogram in this record (copper Kα).

The 8 most intense peaks (2θ = 10–80°), low angle first:
| two_theta | Rel. int. | index |
| --- | --- | --- |
| 17.80 | 100 | 0 0 2 |
| 35.03 | 11 | 1 1 0 |
| 36.10 | 25 | 1 -2 1 |
| 37.29 | 24 | 1 1 -2 |
| 41.72 | 9 | 1 1 2 |
| 43.58 | 16 | 1 -2 3 |
| 46.56 | 17 | 2 -1 3 |
| 62.75 | 9 | 0 3 -1 |

Structure:
a b c (Å): 5.062 5.065 10.054
angles (deg): 93.78 93.93 118.63
Fractional positions:
Mg: 0.000 0.000 0.000
Co: 0.049 0.717 0.245
Co: 0.249 0.577 0.746
Co: 0.384 0.383 0.251
Co: 0.719 0.048 0.245
Co: 0.912 0.904 0.731
Sn: 0.585 0.239 0.742
O: 0.024 0.343 0.148
O: 0.042 0.041 0.341
O: 0.205 0.859 0.643
O: 0.245 0.244 0.846
O: 0.343 0.024 0.148
O: 0.412 0.747 0.332
O: 0.554 0.573 0.646
O: 0.654 0.939 0.854
O: 0.730 0.729 0.138
O: 0.747 0.410 0.332
O: 0.897 0.195 0.638
O: 0.960 0.633 0.847

---

Copy entry 1 word for word.
For V4O3F9, a crystal structure in the Materials Project, relaxed with PBE+U gives the theoretical powder diffractogram in this record (copper Kα).

The 8 most intense peaks (2θ = 10–80°), low angle first:
| two_theta | Rel. int. | index |
| --- | --- | --- |
| 23.44 | 100 | 0 1 -1 |
| 24.15 | 51 | 1 1 2 |
| 33.25 | 7 | 1 2 1 |
| 39.64 | 13 | 2 0 0 |
| 47.95 | 23 | 0 2 -2 |
| 49.47 | 9 | 2 2 4 |
| 53.27 | 13 | 1 -2 1 |
| 54.80 | 8 | 2 1 -3 |

Structure:
a b c (Å): 5.209 5.397 9.056
angles (deg): 73.01 74.91 61.98
Fractional positions:
V: 0.000 0.000 0.000
V: 0.241 0.241 0.256
V: 0.485 0.485 0.495
V: 0.731 0.729 0.732
O: 0.143 0.144 0.079
O: 0.316 0.317 0.403
O: 0.657 0.654 0.584
F: 0.161 0.560 0.671
F: 0.209 0.603 0.110
F: 0.257 0.861 0.370
F: 0.309 0.916 0.819
F: 0.656 0.047 0.165
F: 0.714 0.109 0.619
F: 0.758 0.361 0.872
F: 0.811 0.409 0.319
F: 0.817 0.818 0.909